Ni13Pt2: simulated X-ray powder pattern (Cu Kα (λ = 1.5418 Å)), based on DFT lattice parameters and positions (PBE).
Kinematic intensities with the Lorentz-polarization factor, no thermal factor.

Structure:
Cell lengths 4.3733, 6.6447, 6.6796 Å; angles 73.66, 76.70, 89.17 degrees
Space group P-1 (No. 2)
Inequivalent atoms, fractional coordinates:
Ni (0.0000, 0.0000, 0.0000) x1
Ni (0.0647, 0.1278, 0.3069) x2
Ni (0.1865, 0.3743, 0.9423) x2
Ni (0.2575, 0.5026, 0.2427) x2
Ni (0.3089, 0.6285, 0.5694) x2
Ni (0.3769, 0.7511, 0.8718) x2
Ni (0.4369, 0.8805, 0.1832) x2
Pt (0.1360, 0.2426, 0.6203) x2

Principal peaks in the range 10 to 90 degrees two-theta, in order of rising 2θ:
(hkl)	2theta	I_rel
0 1 1	16.83	16
1 0 0	20.90	11
1 -1 0	24.55	11
0 2 0	28.04	44
1 0 3	43.80	100
2 -1 0	44.23	96
1 2 3	45.72	12
2 2 2	50.87	32
1 -3 1	51.42	31
-1 1 3	51.55	30
3 -1 3	75.18	19
1 5 1	75.33	28